This entry pairs a crystal structure of TmBH8SO10 with its computed X-ray diffraction stick pattern. Radiation: a wavelength of 1.5418 Å. Structure: a crystal structure in OQMD, relaxed with PBE.
Neutral-atom scattering factors, no anomalous dispersion.

Crystal structure
a = 5.7931 Å, b = 6.6964 Å, c = 9.7171 Å
α = 79.72°, β = 76.97°, γ = 88.65°
Space group P-1 (No. 2)
Asymmetric unit:
1 Tm 0.0832 0.3177 0.2753 x2
2 B 0.4154 0.6675 0.7323 x2
3 H 0.1799 0.8016 0.1196 x2
4 H 0.2175 0.7418 0.9202 x2
5 H 0.2370 0.4102 0.9577 x2
6 H 0.2590 0.0138 0.0194 x2
7 H 0.4125 0.7242 0.5152 x2
8 H 0.4328 0.2585 0.0088 x2
9 H 0.4679 0.6200 0.2874 x2
10 H 0.4966 0.0231 0.3006 x2
11 S 0.1316 0.2056 0.6513 x2
12 O 0.0174 0.3441 0.7501 x2
13 O 0.0250 0.0032 0.7137 x2
14 O 0.0874 0.2758 0.5085 x2
15 O 0.2050 0.6394 0.8571 x2
16 O 0.2619 0.2916 0.0322 x2
17 O 0.2869 0.8667 0.0284 x2
18 O 0.3060 0.6792 0.6100 x2
19 O 0.3914 0.2004 0.6457 x2
20 O 0.4203 0.5021 0.2518 x2
21 O 0.4342 0.1590 0.2712 x2

Most intense lines, 2θ from 10° to 80°, sorted by position:
| 2θ (°) | d (Å) | Rel. int. |
| --- | --- | --- |
| 15.03 | 5.896 | 73 |
| 15.70 | 5.643 | 90 |
| 17.82 | 4.978 | 61 |
| 19.05 | 4.658 | 100 |
| 21.84 | 4.070 | 42 |
| 27.07 | 3.295 | 79 |

***

This entry pairs a crystal structure of FePSe with its computed X-ray diffraction stick pattern. Radiation: a wavelength of 1.5418 Å. Structure: a crystal structure in OQMD, relaxed with PBE.
Neutral-atom scattering factors, no anomalous dispersion.

Crystal structure
a = 3.1267 Å, b = 4.9478 Å, c = 5.7067 Å
α = 90.00°, β = 90.00°, γ = 90.00°
Space group Pmn2_1 (No. 31)
Asymmetric unit:
1 Fe 0.0000 0.2339 0.0000 x2
2 P 0.0000 0.0531 0.3573 x2
3 Se 0.0000 0.4291 0.6245 x2

Most intense lines, 2θ from 10° to 80°, sorted by position:
| 2θ (°) | d (Å) | Rel. int. |
| --- | --- | --- |
| 33.92 | 2.643 | 100 |
| 36.35 | 2.472 | 78 |
| 37.50 | 2.398 | 97 |
| 49.63 | 1.837 | 73 |
| 56.64 | 1.625 | 44 |
| 58.23 | 1.584 | 32 |

***

This entry pairs a crystal structure of Zr2Fe with its computed X-ray diffraction stick pattern. Radiation: a wavelength of 1.5418 Å. Structure: a crystal structure in OQMD, relaxed with PBE.
Neutral-atom scattering factors, no anomalous dispersion.

Crystal structure
a = 4.1278 Å, b = 9.8062 Å, c = 5.6587 Å
α = 90.00°, β = 90.00°, γ = 90.00°
Space group Pmmn (No. 59, origin choice 2)
Asymmetric unit:
1 Zr 0.2500 0.0253 0.2021 x4
2 Zr 0.2500 0.2500 0.6195 x2
3 Zr 0.2500 0.7500 0.9457 x2
4 Fe 0.2500 0.6144 0.5699 x4

Most intense lines, 2θ from 10° to 80°, sorted by position:
| 2θ (°) | d (Å) | Rel. int. |
| --- | --- | --- |
| 31.61 | 2.830 | 20 |
| 32.47 | 2.757 | 100 |
| 36.67 | 2.451 | 38 |
| 38.57 | 2.334 | 93 |
| 43.87 | 2.064 | 39 |
| 53.41 | 1.716 | 25 |

***

This entry pairs a crystal structure of CdPbSeO with its computed X-ray diffraction stick pattern. Radiation: a wavelength of 1.5418 Å. Structure: a crystal structure in OQMD, relaxed with PBE.
Neutral-atom scattering factors, no anomalous dispersion.

Crystal structure
a = 6.5645 Å, b = 7.4824 Å, c = 7.6824 Å
α = 90.00°, β = 90.00°, γ = 90.00°
Space group P2_12_12_1 (No. 19)
Asymmetric unit:
1 Cd 0.0305 0.0779 0.1090 x4
2 Pb 0.0682 0.6592 0.8578 x4
3 Se 0.1269 0.9025 0.4075 x4
4 O 0.1354 0.3599 0.5146 x4

Most intense lines, 2θ from 10° to 80°, sorted by position:
| 2θ (°) | d (Å) | Rel. int. |
| --- | --- | --- |
| 26.08 | 3.417 | 25 |
| 27.17 | 3.282 | 30 |
| 27.44 | 3.250 | 42 |
| 29.47 | 3.031 | 100 |
| 29.85 | 2.993 | 46 |
| 37.99 | 2.368 | 32 |